Starting from a cell relaxed with GGA-PBE, the PXRD pattern of La4Sm8Er was simulated for Cu Kα (λ = 1.5418 Å).
Intensities are scaled so that the largest is 100.

Peak list (12 most intense, 2θ = 10–90°, by angle)
hkl  2θ (°)  I (rel.)
0 0 3  19.52  10
2 0 2  22.57  8
1 1 3  25.28  6
2 2 0  32.14  100
2 2 3  37.88  5
4 0 4  46.09  18
6 0 0  57.26  28
2 0 8  57.39  9
4 4 0  67.15  6
0 4 8  67.29  5
6 2 4  76.42  7
4 2 8  76.52  7

Cell and atoms:
```
data_La4Sm8Er
_cell_length_a 11.1519
_cell_length_b 11.1519
_cell_length_c 13.6200
_cell_angle_alpha 90.00
_cell_angle_beta 90.00
_cell_angle_gamma 120.00
_symmetry_space_group_name_H-M 'R -3 m'
_symmetry_Int_Tables_number 166
_symmetry_space_group_name_Hall '-R 3 2"'
loop_
_atom_site_label
_atom_site_type_symbol
_atom_site_fract_x
_atom_site_fract_y
_atom_site_fract_z
La1 La 0.0000 0.0000 0.0000
La2 La 0.0000 0.5000 0.0000
Sm1 Sm 0.0000 0.0000 0.2386
Sm2 Sm 0.0147 0.5074 0.7457
Er1 Er 0.0000 0.0000 0.5000
```

Starting from a cell relaxed with GGA-PBE, the PXRD pattern of Ca6LaAg4 was simulated for Cu Kα (λ = 1.5418 Å).
Intensities are scaled so that the largest is 100.

Peak list (12 most intense, 2θ = 10–90°, by angle)
hkl  2θ (°)  I (rel.)
1 1 0  14.65  38
0 0 2  20.86  25
0 2 1  21.94  35
2 0 0  22.18  34
2 2 -1  27.58  31
2 2 -2  29.55  48
0 0 3  31.56  24
2 2 1  34.85  100
0 2 3  37.25  22
2 0 -4  37.40  23
0 4 0  39.11  26
4 0 -2  39.67  29

Cell and atoms:
```
data_Ca6LaAg4
_cell_length_a 9.086
_cell_length_b 9.213
_cell_length_c 9.639
_cell_angle_alpha 90.00
_cell_angle_beta 118.10
_cell_angle_gamma 90.00
_symmetry_space_group_name_H-M 'C 1 m 1'
_symmetry_Int_Tables_number 8
loop_
_symmetry_equiv_pos_as_xyz
'x,y,z'
'x,-y,z'
'x+1/2,y+1/2,z'
'x+1/2,-y+1/2,z'
loop_
_atom_site_label
_atom_site_type_symbol
_atom_site_fract_x
_atom_site_fract_y
_atom_site_fract_z
Ca1 Ca 0.000 0.000 0.000
Ca2 Ca 0.026 0.500 0.000
Ca3 Ca 0.123 0.238 0.721
Ca4 Ca 0.193 0.251 0.360
La1 La 0.444 0.000 0.362
Ag1 Ag 0.309 0.239 0.092
Ag2 Ag 0.319 0.500 0.628
Ag3 Ag 0.333 0.000 0.628
```